Diffraction record for PrSnAu. The XRD peak list is theoretical, not measured: it uses a structure optimized by DFT (GGA-PBE) and Cu Kα (weighted mean of Kα1 and Kα2).
Peak positions follow from Bragg's law for the DFT cell and can differ from measured ones.

Atomic structure:
```
6
Lattice="4.8063 0.0000 0.0000 -2.4032 4.1624 0.0000 0.0000 0.0000 7.7574" Properties=species:S:1:pos:R:3 pbc="T T T"
Pr 0.0000 0.0000 0.0000
Pr 0.0000 0.0000 3.8787
Sn 0.0000 2.7749 1.7383
Sn 2.4032 1.3875 5.6170
Au 0.0000 2.7749 6.3016
Au 2.4032 1.3875 2.4229
```

The 10 most intense peaks (10 to 90 degrees two-theta), low angle first:
| Position (°2θ) | I (rel.) | (hkl) |
| --- | --- | --- |
| 24.27 | 25 | 1 0 1 |
| 31.53 | 100 | 1 0 2 |
| 37.42 | 90 | 1 1 0 |
| 41.09 | 29 | 1 0 3 |
| 44.34 | 12 | 1 1 2 |
| 49.72 | 28 | 2 0 2 |
| 61.44 | 15 | 1 1 4 |
| 63.85 | 27 | 2 1 2 |
| 64.05 | 13 | 1 0 5 |
| 67.51 | 16 | 3 0 0 |